1.
Diffraction record for MgVCoS4. The X-ray diffraction stick pattern is calculated, not measured: it uses a structure optimized by DFT (GGA-PBE) and copper Kα.
Neutral-atom scattering factors, no anomalous dispersion.

Most intense lines, 2θ = 10–90°, most intense first:
2θ 35.83, I 100, hkl 2 2 0; 2θ 15.38, I 97, hkl 1 0 1; 2θ 51.30, I 93, hkl 2 2 4; 2θ 29.30, I 59, hkl 1 2 1; 2θ 35.46, I 51, hkl 0 0 4; 2θ 15.13, I 42, hkl 0 1 1; 2θ 47.32, I 35, hkl 3 2 1; 2θ 29.73, I 32, hkl 2 1 1; 2θ 50.90, I 26, hkl 0 4 0; 2θ 52.25, I 20, hkl 4 0 0; 2θ 29.37, I 20, hkl 1 0 3; 2θ 46.69, I 19, hkl 1 0 5

Cell and atoms:
Unit cell a=7.003 b=7.177 c=10.127 alpha=90.00 beta=90.00 gamma=90.00
Space group Imma (No. 74)
Unique sites:
Mg 0.000 0.250 0.125
V 0.250 0.250 0.750
Co 0.000 0.000 0.500
S 0.000 0.019 0.729
S 0.211 0.250 0.510

2.
Diffraction record for ErLuO3. The X-ray diffraction stick pattern is calculated, not measured: it uses a structure optimized by DFT (GGA-PBE) and copper Kα.
Neutral-atom scattering factors, no anomalous dispersion.

Most intense lines, 2θ = 10–90°, most intense first:
2θ 31.04, I 100, hkl 1 2 1; 2θ 54.62, I 25, hkl 2 4 0; 2θ 32.06, I 22, hkl 0 0 2; 2θ 30.60, I 22, hkl 2 0 0; 2θ 56.52, I 22, hkl 1 2 3; 2θ 44.91, I 18, hkl 2 0 2; 2θ 44.03, I 12, hkl 0 4 0; 2θ 55.50, I 11, hkl 0 4 2; 2θ 64.71, I 11, hkl 2 4 2; 2θ 72.86, I 9, hkl 1 6 1; 2θ 74.15, I 7, hkl 3 2 3; 2θ 50.87, I 6, hkl 3 1 1

Cell and atoms:
Unit cell a=5.844 b=8.227 c=5.583 alpha=90.00 beta=90.00 gamma=90.00
Space group Pnma (No. 62)
Unique sites:
Er 0.052 0.250 0.013
Lu 0.000 0.000 0.500
O 0.075 0.750 0.358
O 0.182 0.574 0.822

3.
Diffraction record for BaAlCuSbO5. The X-ray diffraction stick pattern is calculated, not measured: it uses a structure optimized by DFT (GGA-PBE) and copper Kα.
Neutral-atom scattering factors, no anomalous dispersion.

Most intense lines, 2θ = 10–90°, most intense first:
2θ 31.54, I 100, hkl 1 1 0; 2θ 10.17, I 91, hkl 0 0 1; 2θ 45.20, I 81, hkl 2 0 0; 2θ 24.58, I 75, hkl 0 1 -1; 2θ 24.28, I 70, hkl 1 0 1; 2θ 30.05, I 52, hkl 1 0 2; 2θ 30.55, I 50, hkl 1 0 -2; 2θ 30.83, I 49, hkl 0 0 3; 2θ 20.41, I 38, hkl 0 0 2; 2θ 38.60, I 32, hkl 1 0 -3; 2θ 37.93, I 24, hkl 0 1 3; 2θ 65.85, I 22, hkl 2 -2 0

Cell and atoms:
Unit cell a=4.010 b=4.014 c=8.704 alpha=88.93 beta=89.23 gamma=89.99
Space group P1 (No. 1)
Unique sites:
Ba 0.000 0.000 0.000
Al 0.006 0.005 0.420
Cu 0.505 0.504 0.442
Sb 0.507 0.509 0.761
O 0.006 0.504 0.404
O 0.007 0.512 0.769
O 0.500 0.500 0.992
O 0.506 0.005 0.403
O 0.508 0.009 0.768

4.
Diffraction record for Fe3Pt. The X-ray diffraction stick pattern is calculated, not measured: it uses a structure optimized by DFT (GGA-PBE) and copper Kα.
Neutral-atom scattering factors, no anomalous dispersion.

Most intense lines, 2θ = 10–90°, most intense first:
2θ 41.71, I 100, hkl 1 1 1; 2θ 48.54, I 48, hkl 2 0 0; 2θ 23.72, I 41, hkl 1 0 0; 2θ 85.95, I 35, hkl 3 1 1; 2θ 33.80, I 34, hkl 1 1 0; 2θ 71.09, I 29, hkl 2 2 0; 2θ 54.72, I 19, hkl 2 1 0; 2θ 60.46, I 14, hkl 2 1 1; 2θ 76.14, I 9, hkl 3 0 0; 2θ 81.08, I 6, hkl 3 1 0

Cell and atoms:
Unit cell a=3.751 b=3.751 c=3.751 alpha=90.00 beta=90.00 gamma=90.00
Space group Pm-3m (No. 221)
Unique sites:
Fe 0.000 0.000 0.500
Pt 0.500 0.500 0.500